Cs2CrFeF6: calculated X-ray powder pattern (Cu Kα), based on a cell relaxed with PBE+U.
Neutral-atom scattering factors, no anomalous dispersion.

Atomic structure:
```
data_Cs2CrFeF6
_chemical_formula_sum 'Cs4 Cr2 Fe2 F12'
_cell_length_a 6.213
_cell_length_b 6.213
_cell_length_c 8.633
_cell_angle_alpha 90.00
_cell_angle_beta 90.00
_cell_angle_gamma 90.00
_symmetry_space_group_name_H-M 'I 4/m m m'
_symmetry_Int_Tables_number 139
_symmetry_space_group_name_Hall '-I 4 2'
loop_
_atom_site_label
_atom_site_type_symbol
_atom_site_fract_x
_atom_site_fract_y
_atom_site_fract_z
_atom_site_occupancy
Cs1 Cs 0.000 0.500 0.250 1
Cr1 Cr 0.000 0.000 0.000 1
Fe1 Fe 0.000 0.000 0.500 1
F1 F 0.000 0.000 0.236 1
F2 F 0.239 0.239 0.500 1
```

Principal peaks in the range 5° ≤ 2θ ≤ 70°, sorted by position:
| d_spacing | I/Imax | hkl |
| --- | --- | --- |
| 4.393 | 11 | 1 1 0 |
| 3.106 | 51 | 2 0 0 |
| 3.079 | 100 | 1 1 2 |
| 2.521 | 36 | 2 0 2 |
| 2.197 | 40 | 2 2 0 |
| 2.158 | 19 | 0 0 4 |
| 1.788 | 40 | 3 1 2 |
| 1.772 | 19 | 2 0 4 |
| 1.553 | 12 | 4 0 0 |
| 1.539 | 24 | 2 2 4 |